No. 1
Computed XRD peak list of CaZrS3O12 for Cu Kα, 1.54184 Å, from the PBE geometry in the Materials Project.

Structural model:
abc: 9.404 9.404 9.404
angles: 58.03 58.03 58.03
Element x y z (fractional)
Ca1 0.000 0.000 0.000
Ca2 0.500 0.500 0.500
Zr1 0.289 0.289 0.289
Zr2 0.789 0.789 0.789
S1 0.101 0.403 0.678
S2 0.178 0.903 0.601
S3 0.403 0.678 0.101
S4 0.601 0.178 0.903
S5 0.678 0.101 0.403
S6 0.903 0.601 0.178
O1 0.014 0.879 0.633
O2 0.062 0.252 0.837
O3 0.071 0.438 0.196
O4 0.133 0.379 0.514
O5 0.152 0.927 0.754
O6 0.196 0.071 0.438
O7 0.252 0.837 0.062
O8 0.254 0.427 0.652
O9 0.337 0.752 0.562
O10 0.379 0.514 0.133
O11 0.427 0.652 0.254
O12 0.438 0.196 0.071
O13 0.514 0.133 0.379
O14 0.562 0.337 0.752
O15 0.571 0.696 0.938
O16 0.633 0.014 0.879
O17 0.652 0.254 0.427
O18 0.696 0.938 0.571
O19 0.752 0.562 0.337
O20 0.754 0.152 0.927
O21 0.837 0.062 0.252
O22 0.879 0.633 0.014
O23 0.927 0.754 0.152
O24 0.938 0.571 0.696

Peak list (10 most intense, 2θ from 5° to 70°, by intensity)
d = 3.936 Å, 2θ 22.59, intensity 100; d = 6.545 Å, 2θ 13.53, intensity 68; d = 2.962 Å, 2θ 30.17, intensity 55; d = 4.698 Å, 2θ 18.89, intensity 50; d = 3.273 Å, 2θ 27.25, intensity 43; d = 4.561 Å, 2θ 19.46, intensity 20; d = 2.633 Å, 2θ 34.04, intensity 19; d = 1.841 Å, 2θ 49.52, intensity 18; d = 1.724 Å, 2θ 53.13, intensity 15; d = 1.968 Å, 2θ 46.12, intensity 15

***

No. 2
Computed XRD peak list of CaAg2O4 for Cu Kα, 1.54184 Å, from the PBE geometry in the Materials Project.

Structural model:
abc: 5.616 5.616 10.009
angles: 90.00 90.00 145.44
Element x y z (fractional)
Ca1 0.109 0.891 0.750
Ca2 0.891 0.109 0.250
Ag1 0.368 0.632 0.570
Ag2 0.368 0.632 0.930
Ag3 0.632 0.368 0.070
Ag4 0.632 0.368 0.430
O1 0.000 0.000 0.000
O2 0.000 0.000 0.500
O3 0.280 0.720 0.113
O4 0.280 0.720 0.387
O5 0.458 0.542 0.750
O6 0.542 0.458 0.250
O7 0.720 0.280 0.613
O8 0.720 0.280 0.887

Peak list (10 most intense, 2θ from 5° to 70°, by intensity)
d = 2.833 Å, 2θ 31.58, intensity 100; d = 2.684 Å, 2θ 33.38, intensity 62; d = 2.193 Å, 2θ 41.17, intensity 44; d = 5.004 Å, 2θ 17.72, intensity 39; d = 2.439 Å, 2θ 36.85, intensity 38; d = 3.186 Å, 2θ 28.00, intensity 37; d = 1.696 Å, 2θ 54.08, intensity 34; d = 2.370 Å, 2θ 37.96, intensity 33; d = 1.668 Å, 2θ 55.05, intensity 28; d = 3.036 Å, 2θ 29.42, intensity 27

***

No. 3
Computed XRD peak list of Li4Cu4Cl10O for Cu Kα, 1.54184 Å, from the PBE geometry in the Materials Project.

Structural model:
abc: 10.395 10.395 7.533
angles: 101.00 101.00 83.59
Element x y z (fractional)
Li1 0.076 0.249 0.144
Li2 0.219 0.428 0.647
Li3 0.249 0.076 0.644
Li4 0.428 0.219 0.147
Li5 0.572 0.781 0.853
Li6 0.751 0.924 0.356
Li7 0.781 0.572 0.353
Li8 0.924 0.751 0.856
Cu1 0.127 0.730 0.374
Cu2 0.270 0.873 0.126
Cu3 0.279 0.550 0.091
Cu4 0.450 0.721 0.409
Cu5 0.550 0.279 0.591
Cu6 0.721 0.450 0.909
Cu7 0.730 0.127 0.874
Cu8 0.873 0.270 0.626
Cl1 0.055 0.225 0.496
Cl2 0.085 0.915 0.250
Cl3 0.149 0.514 0.365
Cl4 0.152 0.649 0.859
Cl5 0.225 0.055 0.996
Cl6 0.234 0.344 0.945
Cl7 0.344 0.234 0.445
Cl8 0.351 0.848 0.641
Cl9 0.486 0.851 0.135
Cl10 0.496 0.504 0.250
Cl11 0.504 0.496 0.750
Cl12 0.514 0.149 0.865
Cl13 0.649 0.152 0.359
Cl14 0.656 0.766 0.555
Cl15 0.766 0.656 0.055
Cl16 0.775 0.945 0.004
Cl17 0.848 0.351 0.141
Cl18 0.851 0.486 0.635
Cl19 0.915 0.085 0.750
Cl20 0.945 0.775 0.504
O1 0.282 0.718 0.250
O2 0.718 0.282 0.750

Peak list (10 most intense, 2θ from 5° to 70°, by intensity)
d = 5.487 Å, 2θ 16.15, intensity 100; d = 6.478 Å, 2θ 13.67, intensity 95; d = 3.866 Å, 2θ 23.00, intensity 91; d = 7.491 Å, 2θ 11.81, intensity 77; d = 3.239 Å, 2θ 27.54, intensity 71; d = 4.558 Å, 2θ 19.47, intensity 69; d = 2.775 Å, 2θ 32.26, intensity 62; d = 2.542 Å, 2θ 35.30, intensity 49; d = 6.928 Å, 2θ 12.78, intensity 43; d = 2.280 Å, 2θ 39.53, intensity 37

***

No. 4
Computed XRD peak list of Fe21W2C6 for Cu Kα, 1.54184 Å, from the PBE geometry in the Materials Project.

Structural model:
abc: 7.407 7.407 7.407
angles: 60.00 60.00 60.00
Element x y z (fractional)
Fe1 0.000 0.000 0.000
Fe2 0.000 0.000 0.338
Fe3 0.000 0.000 0.662
Fe4 0.000 0.338 0.000
Fe5 0.000 0.338 0.662
Fe6 0.000 0.662 0.000
Fe7 0.000 0.662 0.338
Fe8 0.151 0.616 0.616
Fe9 0.338 0.000 0.000
Fe10 0.338 0.000 0.662
Fe11 0.338 0.662 0.000
Fe12 0.384 0.384 0.384
Fe13 0.384 0.384 0.849
Fe14 0.384 0.849 0.384
Fe15 0.616 0.151 0.616
Fe16 0.616 0.616 0.151
Fe17 0.616 0.616 0.616
Fe18 0.662 0.000 0.000
Fe19 0.662 0.000 0.338
Fe20 0.662 0.338 0.000
Fe21 0.849 0.384 0.384
W1 0.250 0.250 0.250
W2 0.750 0.750 0.750
C1 0.280 0.280 0.720
C2 0.280 0.720 0.280
C3 0.280 0.720 0.720
C4 0.720 0.280 0.280
C5 0.720 0.280 0.720
C6 0.720 0.720 0.280

Peak list (10 most intense, 2θ from 5° to 70°, by intensity)
d = 2.016 Å, 2θ 44.96, intensity 100; d = 2.342 Å, 2θ 38.43, intensity 90; d = 2.138 Å, 2θ 42.26, intensity 86; d = 1.852 Å, 2θ 49.20, intensity 47; d = 5.238 Å, 2θ 16.93, intensity 35; d = 3.704 Å, 2θ 24.03, intensity 28; d = 1.579 Å, 2θ 58.44, intensity 28; d = 1.771 Å, 2θ 51.62, intensity 27; d = 1.656 Å, 2θ 55.48, intensity 18; d = 1.400 Å, 2θ 66.83, intensity 10

***

No. 5
Computed XRD peak list of Sb2I2F11 for Cu Kα, 1.54184 Å, from the PBE geometry in the Materials Project.

Structural model:
abc: 8.010 8.010 5.583
angles: 100.60 100.60 64.82
Element x y z (fractional)
Sb1 0.147 0.147 0.453
Sb2 0.853 0.853 0.547
I1 0.431 0.430 0.131
I2 0.570 0.569 0.869
F1 0.014 0.986 0.500
F2 0.067 0.706 0.744
F3 0.273 0.296 0.411
F4 0.294 0.933 0.256
F5 0.312 0.055 0.736
F6 0.661 0.017 0.339
F7 0.704 0.727 0.589
F8 0.774 0.034 0.820
F9 0.945 0.688 0.264
F10 0.966 0.226 0.180
F11 0.983 0.339 0.661

Peak list (10 most intense, 2θ from 5° to 70°, by intensity)
d = 4.115 Å, 2θ 21.59, intensity 100; d = 4.293 Å, 2θ 20.69, intensity 69; d = 3.520 Å, 2θ 25.30, intensity 47; d = 3.916 Å, 2θ 22.71, intensity 42; d = 2.443 Å, 2θ 36.79, intensity 28; d = 2.214 Å, 2θ 40.75, intensity 28; d = 4.616 Å, 2θ 19.23, intensity 17; d = 2.308 Å, 2θ 39.02, intensity 16; d = 1.842 Å, 2θ 49.49, intensity 16; d = 3.814 Å, 2θ 23.32, intensity 15